The following is a computed powder diffraction line list of Cs2ScTlI6. It was derived from a cell relaxed with GGA-PBE, using Cu Kα X-rays.
Kinematic intensities with the Lorentz-polarization factor, no thermal factor.

Main lines, low angle first (15° ≤ 2θ ≤ 90°):
2θ/deg  I (rel.)
19.98  22
23.47  14
24.53  72
28.40  100
31.01  19
40.60  72
48.01  29
50.28  24
66.53  29
73.86  20

Atomic structure:
```
Cs2ScTlI6
1.0
0.000 6.286 6.286
6.286 0.000 6.286
6.286 6.286 0.000
Cs Sc Tl I
2 1 1 6
direct
0.250 0.250 0.250 Cs
0.750 0.750 0.750 Cs
0.000 0.000 0.000 Sc
0.500 0.500 0.500 Tl
0.231 0.231 0.769 I
0.231 0.769 0.231 I
0.231 0.769 0.769 I
0.769 0.231 0.231 I
0.769 0.231 0.769 I
0.769 0.769 0.231 I
```